Record 1
Theoretical powder diffraction line list
Compound: Li3GaAu2
Radiation: Cu Kα, 1.54184 Å
Structure: a structure optimized by DFT (PBE)
No peak broadening, texture or thermal motion is included.

Top 10 peaks for 15 to 90 degrees two-theta, by intensity:
2θ/deg	I_rel
29.67	100
25.74	79
39.83	76
39.07	61
18.35	39
28.06	35
42.84	34
23.80	32
56.83	26
50.65	26

```
Li3GaAu2
1.0
5.547 0.000 0.000
0.000 4.222 0.000
-1.021 0.000 8.044
Li Ga Au
6 2 4
direct
0.082 0.250 0.257 Li
0.170 0.250 0.928 Li
0.343 0.750 0.431 Li
0.657 0.250 0.569 Li
0.830 0.750 0.072 Li
0.918 0.750 0.743 Li
0.416 0.750 0.774 Ga
0.584 0.250 0.226 Ga
0.153 0.250 0.598 Au
0.312 0.750 0.100 Au
0.688 0.250 0.900 Au
0.847 0.750 0.402 Au
```

***

Record 2
Theoretical powder diffraction line list
Compound: PmSm6Dy
Radiation: Cu Kα, 1.54184 Å
Structure: a structure optimized by DFT (PBE)
No peak broadening, texture or thermal motion is included.

Top 8 peaks for 15 to 90 degrees two-theta, by intensity:
2θ/deg	I_rel
30.26	100
35.08	51
59.97	43
50.45	36
82.11	18
84.73	16
62.93	12
74.13	6

```
PmSm6Dy
1.0
5.117 0.000 0.000
0.000 5.117 0.000
0.000 0.000 10.231
Pm Sm Dy
1 6 1
direct
0.000 0.000 0.000 Pm
0.000 0.500 0.252 Sm
0.000 0.500 0.748 Sm
0.500 0.000 0.252 Sm
0.500 0.000 0.748 Sm
0.500 0.500 0.000 Sm
0.500 0.500 0.500 Sm
0.000 0.000 0.500 Dy
```

***

Record 3
Theoretical powder diffraction line list
Compound: MgSi
Radiation: Cu Kα, 1.54184 Å
Structure: a structure optimized by DFT (PBE)
No peak broadening, texture or thermal motion is included.

Top 10 peaks for 15 to 90 degrees two-theta, by intensity:
2θ/deg	I_rel
32.05	100
33.77	71
33.64	68
36.22	56
31.75	47
45.75	42
42.51	40
37.65	40
46.28	38
42.83	37

```
MgSi
1.0
3.934 0.000 0.000
-1.807 5.968 0.000
-1.290 -1.167 9.920
Mg Si
6 6
direct
0.000 0.000 0.000 Mg
0.021 0.850 0.289 Mg
0.267 0.673 0.805 Mg
0.290 0.414 0.280 Mg
0.731 0.436 0.010 Mg
0.755 0.176 0.484 Mg
0.030 0.058 0.742 Si
0.399 0.727 0.094 Si
0.414 0.532 0.553 Si
0.610 0.316 0.737 Si
0.622 0.123 0.195 Si
0.994 0.790 0.547 Si
```

***

Record 4
Theoretical powder diffraction line list
Compound: Pr4Mg7Ge6
Radiation: Cu Kα, 1.54184 Å
Structure: a structure optimized by DFT (PBE)
No peak broadening, texture or thermal motion is included.

Top 10 peaks for 15 to 90 degrees two-theta, by intensity:
2θ/deg	I_rel
37.46	100
33.41	86
30.09	74
40.45	63
34.84	58
29.69	43
26.39	40
28.81	31
25.17	27
21.18	27

```
Pr4Mg7Ge6
1.0
8.391 -2.230 0.000
8.391 2.230 0.000
-6.791 0.000 10.639
Pr Mg Ge
4 7 6
direct
0.129 0.129 0.340 Pr
0.233 0.233 0.113 Pr
0.767 0.767 0.887 Pr
0.871 0.871 0.660 Pr
0.000 0.000 0.000 Mg
0.190 0.190 0.654 Mg
0.438 0.438 0.105 Mg
0.460 0.460 0.361 Mg
0.540 0.540 0.639 Mg
0.562 0.562 0.895 Mg
0.810 0.810 0.346 Mg
0.109 0.109 0.811 Ge
0.351 0.351 0.475 Ge
0.381 0.381 0.849 Ge
0.619 0.619 0.151 Ge
0.649 0.649 0.525 Ge
0.891 0.891 0.189 Ge
```